# Dy7Cu3Te12
Computed powder diffraction line list, Cu Kα (weighted mean of Kα1 and Kα2). Input: DFT lattice parameters and positions (PBE).

Unit cell a=7.454 b=7.457 c=14.315 alpha=94.90 beta=95.03 gamma=119.07
Space group P1 (No. 1)
Unique sites:
Dy: 0.000 0.000 0.000 [1 per cell]
Dy: 0.084 0.754 0.256 [1 per cell]
Dy: 0.246 0.918 0.749 [1 per cell]
Dy: 0.413 0.410 0.254 [1 per cell]
Dy: 0.590 0.593 0.749 [1 per cell]
Dy: 0.758 0.093 0.255 [1 per cell]
Dy: 0.914 0.243 0.748 [1 per cell]
Cu: 0.143 0.479 0.432 [1 per cell]
Cu: 0.479 0.145 0.431 [1 per cell]
Cu: 0.527 0.861 0.579 [1 per cell]
Te: 0.044 0.380 0.127 [1 per cell]
Te: 0.123 0.124 0.388 [1 per cell]
Te: 0.202 0.538 0.622 [1 per cell]
Te: 0.295 0.296 0.878 [1 per cell]
Te: 0.376 0.039 0.128 [1 per cell]
Te: 0.473 0.794 0.385 [1 per cell]
Te: 0.538 0.214 0.621 [1 per cell]
Te: 0.623 0.962 0.878 [1 per cell]
Te: 0.708 0.711 0.128 [1 per cell]
Te: 0.794 0.472 0.387 [1 per cell]
Te: 0.877 0.871 0.619 [1 per cell]
Te: 0.961 0.624 0.878 [1 per cell]

Largest 10 diffraction maxima, in order of rising 2θ, 2θ from 10° to 90°:
12.55 deg, rel. 24, (0 0 2)
27.91 deg, rel. 51, (1 1 -3)
28.09 deg, rel. 100, (2 -1 2)
31.88 deg, rel. 24, (-1 2 3)
36.58 deg, rel. 19, (1 1 -5)
38.39 deg, rel. 18, (1 -2 5)
41.58 deg, rel. 56, (3 0 -1)
42.19 deg, rel. 27, (3 -3 0)
43.79 deg, rel. 25, (-2 1 6)
51.34 deg, rel. 19, (2 -4 3)

***

# DyCu3Te3
Computed powder diffraction line list, Cu Kα (weighted mean of Kα1 and Kα2). Input: DFT lattice parameters and positions (PBE).

Unit cell a=7.4559 b=7.4559 c=21.0089 alpha=90.00 beta=90.00 gamma=120.00
Space group R-3 (No. 148, hexagonal axes)
Unique sites:
Dy: 0.0000 0.0000 0.1660 [6 per cell]
Cu: 0.0044 0.6480 0.6240 [18 per cell]
Te: 0.0018 0.6816 0.4173 [18 per cell]

Largest 10 diffraction maxima, in order of rising 2θ, 2θ from 10° to 90°:
27.10 deg, rel. 100, (2 -1 3)
35.16 deg, rel. 88, (2 -1 6)
41.98 deg, rel. 89, (3 0 0)
45.87 deg, rel. 53, (1 1 9)
50.68 deg, rel. 17, (2 2 3)
55.87 deg, rel. 23, (2 2 6)
63.91 deg, rel. 18, (4 -2 9)
67.85 deg, rel. 14, (5 -1 3)
72.28 deg, rel. 19, (5 -1 6)
79.45 deg, rel. 18, (4 1 9)

***

# DyTlCu
Computed powder diffraction line list, Cu Kα (weighted mean of Kα1 and Kα2). Input: DFT lattice parameters and positions (PBE).

Unit cell a=7.494 b=4.289 c=9.163 alpha=90.00 beta=90.22 gamma=90.00
Space group C2/m (No. 12)
Unique sites:
Dy: 0.001 0.000 0.181 [4 per cell]
Tl: 0.166 0.500 0.595 [4 per cell]
Cu: 0.166 0.500 0.995 [4 per cell]

Largest 10 diffraction maxima, in order of rising 2θ, 2θ from 10° to 90°:
25.72 deg, rel. 21, (2 0 1)
25.81 deg, rel. 44, (1 1 -1)
30.91 deg, rel. 100, (2 0 2)
37.93 deg, rel. 26, (2 0 -3)
38.15 deg, rel. 51, (1 1 3)
41.85 deg, rel. 49, (3 1 0)
42.13 deg, rel. 24, (0 2 0)
53.15 deg, rel. 15, (2 2 2)
57.97 deg, rel. 15, (2 2 -3)
67.11 deg, rel. 14, (3 1 5)